Structure and theoretical X-ray diffraction stick pattern of AlIn3 (a structure optimized by DFT (PBE); Cu Kα (λ = 1.5418 Å)).

```
data_AlIn3
_cell_length_a 5.4448
_cell_length_b 5.4448
_cell_length_c 3.3634
_cell_angle_alpha 90.00
_cell_angle_beta 90.00
_cell_angle_gamma 90.00
_space_group_name_H-M_alt 'P 4/m m m'
_space_group_IT_number 123
_space_group_name_Hall '-P 4 2'
loop_
_atom_site_label
_atom_site_type_symbol
_atom_site_fract_x
_atom_site_fract_y
_atom_site_fract_z
_atom_site_occupancy
Al1 Al 0.0000 0.0000 0.0000 1
In1 In 0.0000 0.5000 0.5000 1
In2 In 0.5000 0.5000 0.0000 1
```

The 10 most intense peaks (10 to 90 degrees two-theta), by angle:
two_theta, I/Imax, hkl
16.3, 185, 1 0 0
23.1, 84, 1 1 0
32.9, 613, 2 0 0
35.4, 1000, 1 1 1
47.2, 218, 2 2 0
60.4, 406, 3 1 1
65.2, 160, 2 0 2
75.0, 106, 2 2 2
78.6, 94, 4 2 0
80.0, 89, 3 3 1

***

Structure and theoretical X-ray diffraction stick pattern of SrCaB5H2ClO10 (a structure optimized by DFT (PBE); Cu Kα (λ = 1.5418 Å)).

```
data_SrCaB5H2ClO10
_cell_length_a 6.4461
_cell_length_b 6.5479
_cell_length_c 6.6862
_cell_angle_alpha 75.71
_cell_angle_beta 61.24
_cell_angle_gamma 60.81
_space_group_name_H-M_alt 'P 1'
_space_group_IT_number 1
_space_group_name_Hall 'P 1'
loop_
_atom_site_label
_atom_site_type_symbol
_atom_site_fract_x
_atom_site_fract_y
_atom_site_fract_z
_atom_site_occupancy
Sr1 Sr 0.0000 0.0000 0.0000 1
Ca1 Ca 0.8657 0.4826 0.4603 1
B1 B 0.3296 0.0053 0.3400 1
B2 B 0.3506 0.5992 0.4525 1
B3 B 0.4677 0.1585 0.5492 1
B4 B 0.5693 0.0475 0.8880 1
B5 B 0.9313 0.9286 0.4922 1
H1 H 0.1697 0.4263 0.9527 1
H2 H 0.8756 0.5917 0.0068 1
Cl1 Cl 0.6236 0.5239 0.9236 1
O1 O 0.0187 0.5645 0.0448 1
O2 O 0.0816 0.0615 0.3322 1
O3 O 0.1062 0.6712 0.4637 1
O4 O 0.2668 0.1673 0.5013 1
O5 O 0.3752 0.1305 0.8124 1
O6 O 0.4477 0.7578 0.4186 1
O7 O 0.5093 0.3744 0.4876 1
O8 O 0.5266 0.0323 0.1107 1
O9 O 0.7243 0.9643 0.4371 1
O10 O 0.8284 0.9902 0.7320 1
```

The 10 most intense peaks (10 to 90 degrees two-theta), by angle:
two_theta, I/Imax, hkl
15.5, 633, 0 1 0
17.5, 428, 1 0 0
21.5, 377, 0 1 1
27.7, 715, 1 1 2
30.5, 1000, 0 0 2
31.3, 846, 0 2 0
31.9, 479, 2 2 1
41.6, 489, 2 1 -1
43.5, 429, 3 1 2
44.9, 393, 2 2 -1

***

Structure and theoretical X-ray diffraction stick pattern of Ce2MgTcH6 (a structure optimized by DFT (PBE); Cu Kα (λ = 1.5418 Å)).

```
data_Ce2MgTcH6
_cell_length_a 4.7654
_cell_length_b 4.7654
_cell_length_c 6.7790
_cell_angle_alpha 90.00
_cell_angle_beta 90.00
_cell_angle_gamma 120.00
_space_group_name_H-M_alt 'P -3 m 1'
_space_group_IT_number 164
_space_group_name_Hall '-P 3 2"'
loop_
_atom_site_label
_atom_site_type_symbol
_atom_site_fract_x
_atom_site_fract_y
_atom_site_fract_z
_atom_site_occupancy
Ce1 Ce 0.3333 0.6667 0.2013 1
Mg1 Mg 0.0000 0.0000 0.5000 1
Tc1 Tc 0.0000 0.0000 0.0000 1
H1 H 0.1787 0.3574 0.8544 1
```

The 10 most intense peaks (10 to 90 degrees two-theta), by angle:
two_theta, I/Imax, hkl
13.1, 408, 0 0 1
25.3, 1000, 0 1 1
34.2, 657, 0 1 2
37.8, 533, 1 1 0
40.1, 138, 1 1 1
45.8, 213, 1 0 3
46.0, 211, 2 0 1
51.9, 206, 2 0 2
60.9, 174, 1 2 1
65.9, 192, 1 2 2

***

Structure and theoretical X-ray diffraction stick pattern of Tb2Tm4Se9 (a structure optimized by DFT (PBE); Cu Kα (λ = 1.5418 Å)).

```
data_Tb2Tm4Se9
_cell_length_a 7.1437
_cell_length_b 7.1456
_cell_length_c 19.3597
_cell_angle_alpha 89.99
_cell_angle_beta 89.98
_cell_angle_gamma 60.03
_space_group_name_H-M_alt 'P -1'
_space_group_IT_number 2
_space_group_name_Hall '-P 1'
loop_
_atom_site_label
_atom_site_type_symbol
_atom_site_fract_x
_atom_site_fract_y
_atom_site_fract_z
_atom_site_occupancy
Tb1 Tb 0.0002 0.0011 0.1514 1
Tb2 Tb 0.0011 0.9986 0.3483 1
Tm1 Tm 0.3324 0.3336 0.8193 1
Tm2 Tm 0.3330 0.3335 0.0133 1
Tm3 Tm 0.3342 0.3332 0.3196 1
Tm4 Tm 0.3339 0.3332 0.5129 1
Se1 Se 0.0010 0.3094 0.2501 1
Se2 Se 0.0264 0.3385 0.9168 1
Se3 Se 0.0261 0.6337 0.4169 1
Se4 Se 0.3092 0.9997 0.7501 1
Se5 Se 0.3098 0.6900 0.2497 1
Se6 Se 0.3399 0.6335 0.9167 1
Se7 Se 0.3406 0.0253 0.4166 1
Se8 Se 0.3647 0.6606 0.5834 1
Se9 Se 0.3668 0.9734 0.0833 1
```

The 10 most intense peaks (10 to 90 degrees two-theta), by angle:
two_theta, I/Imax, hkl
17.0, 424, 1 1 2
23.3, 554, 1 1 -4
24.9, 408, 2 1 0
28.6, 532, 2 1 3
34.4, 346, 0 2 -4
37.6, 1000, 1 2 6
42.9, 318, 2 -1 4
43.9, 602, 3 3 0
59.1, 257, 2 4 6
76.5, 223, 4 5 6

***

Structure and theoretical X-ray diffraction stick pattern of NbBMoOs2 (a structure optimized by DFT (PBE); Cu Kα (λ = 1.5418 Å)).

```
data_NbBMoOs2
_cell_length_a 4.0865
_cell_length_b 4.0865
_cell_length_c 4.2950
_cell_angle_alpha 90.00
_cell_angle_beta 90.00
_cell_angle_gamma 90.00
_space_group_name_H-M_alt 'P 4/m m m'
_space_group_IT_number 123
_space_group_name_Hall '-P 4 2'
loop_
_atom_site_label
_atom_site_type_symbol
_atom_site_fract_x
_atom_site_fract_y
_atom_site_fract_z
_atom_site_occupancy
Nb1 Nb 0.0000 0.0000 0.0000 1
B1 B 0.0000 0.0000 0.5000 1
Mo1 Mo 0.5000 0.5000 0.0000 1
Os1 Os 0.0000 0.5000 0.5000 1
```

The 10 most intense peaks (10 to 90 degrees two-theta), by angle:
two_theta, I/Imax, hkl
20.7, 122, 0 0 1
30.9, 76, 1 1 0
37.5, 1000, 1 1 1
42.1, 191, 0 0 2
44.3, 329, 2 0 0
62.8, 233, 2 0 2
64.5, 107, 2 2 0
73.9, 138, 1 1 3
77.1, 247, 3 1 1
80.0, 117, 2 2 2

***

Structure and theoretical X-ray diffraction stick pattern of Li4SbAs (a structure optimized by DFT (PBE); Cu Kα (λ = 1.5418 Å)).

```
data_Li4SbAs
_cell_length_a 5.5803
_cell_length_b 7.4806
_cell_length_c 5.6851
_cell_angle_alpha 90.00
_cell_angle_beta 112.93
_cell_angle_gamma 90.00
_space_group_name_H-M_alt 'C 1 2/m 1'
_space_group_IT_number 12
_space_group_name_Hall '-C 2y'
loop_
_atom_site_label
_atom_site_type_symbol
_atom_site_fract_x
_atom_site_fract_y
_atom_site_fract_z
_atom_site_occupancy
Li1 Li 0.2428 0.1900 0.2619 1
Sb1 Sb 0.0000 0.5000 0.0000 1
As1 As 0.0000 0.0000 0.5000 1
```

The 10 most intense peaks (10 to 90 degrees two-theta), by angle:
two_theta, I/Imax, hkl
22.4, 1000, 1 1 -1
23.8, 396, 0 2 0
31.1, 504, 1 1 1
34.3, 146, 0 0 2
34.9, 138, 2 0 0
38.4, 160, 2 0 -2
41.0, 261, 1 3 -1
42.1, 233, 0 2 2
42.7, 225, 2 2 0
45.6, 137, 2 2 -2